Entry 1:
For Zr4P2CN, DFT lattice parameters and positions (GGA-PBE) gives the computed X-ray diffraction stick pattern in this record (CuKα).
Lines closer than 0.1° are merged.

Cell and atoms:
```
data_Zr4P2CN
_chemical_formula_sum 'Zr4 P2 C1 N1'
_cell_length_a 3.4376
_cell_length_b 3.4376
_cell_length_c 12.1706
_cell_angle_alpha 90.00
_cell_angle_beta 90.00
_cell_angle_gamma 120.00
_space_group_name_H-M_alt 'P -3 m 1'
_space_group_IT_number 164
_space_group_name_Hall '-P 3 2"'
loop_
_atom_site_label
_atom_site_type_symbol
_atom_site_fract_x
_atom_site_fract_y
_atom_site_fract_z
Zr1 Zr 0.3333 0.6667 0.1048
Zr2 Zr 0.3333 0.6667 0.3981
P1 P 0.3333 0.6667 0.7470
C1 C 0.0000 0.0000 0.0000
N1 N 0.0000 0.0000 0.5000
```

Top 10 peaks for 15 to 90 degrees two-theta, most intense first:
index, two_theta, d (Å), I_rel
1 0 3, 37.5, 2.400, 1000
1 1 0, 53.3, 1.719, 289
1 0 0, 30.0, 2.977, 273
1 0 1, 30.9, 2.892, 273
2 0 3, 67.0, 1.397, 172
0 0 4, 29.4, 3.043, 139
1 0 4, 42.5, 2.128, 130
0 1 7, 61.8, 1.501, 128
1 1 6, 72.0, 1.311, 109
1 1 4, 62.0, 1.497, 102

Entry 2:
For ZnPbC4S4N4, DFT lattice parameters and positions (GGA-PBE) gives the computed X-ray diffraction stick pattern in this record (CuKα).
Lines closer than 0.1° are merged.

Cell and atoms:
```
data_ZnPbC4S4N4
_chemical_formula_sum 'Zn4 Pb4 C16 S16 N16'
_cell_length_a 9.281
_cell_length_b 20.766
_cell_length_c 6.176
_cell_angle_alpha 90.00
_cell_angle_beta 90.00
_cell_angle_gamma 90.00
_space_group_name_H-M_alt 'P n a 21'
_space_group_IT_number 33
loop_
_space_group_symop_operation_xyz
'x,y,z'
'-x,-y,z+1/2'
'-x+1/2,y+1/2,z+1/2'
'x+1/2,-y+1/2,z'
loop_
_atom_site_label
_atom_site_type_symbol
_atom_site_fract_x
_atom_site_fract_y
_atom_site_fract_z
Zn1 Zn 0.097 0.143 0.000
Pb1 Pb 0.108 0.355 0.483
C1 C 0.064 0.923 0.126
C2 C 0.092 0.785 0.823
C3 C 0.148 0.285 0.949
C4 C 0.197 0.574 0.825
S1 S 0.092 0.541 0.005
S2 S 0.107 0.361 0.955
S3 S 0.152 0.741 0.021
S4 S 0.177 0.954 0.955
N1 N 0.021 0.099 0.749
N2 N 0.057 0.821 0.682
N3 N 0.179 0.230 0.940
N4 N 0.227 0.097 0.192
```

Top 10 peaks for 15 to 90 degrees two-theta, most intense first:
index, two_theta, d (Å), I_rel
2 5 0, 28.9, 3.093, 1000
1 2 1, 19.3, 4.608, 969
2 1 0, 19.6, 4.529, 461
2 5 2, 41.3, 2.186, 457
3 3 1, 34.9, 2.569, 423
0 4 0, 17.1, 5.191, 376
1 1 1, 17.8, 4.991, 305
1 3 1, 21.5, 4.128, 300
2 1 2, 35.2, 2.551, 269
4 0 0, 38.8, 2.319, 249

Entry 3:
For Zr8Pb2C3N3, DFT lattice parameters and positions (GGA-PBE) gives the computed X-ray diffraction stick pattern in this record (CuKα).
Lines closer than 0.1° are merged.

Cell and atoms:
```
data_Zr8Pb2C3N3
_chemical_formula_sum 'Zr8 Pb2 C3 N3'
_cell_length_a 3.3362
_cell_length_b 3.3362
_cell_length_c 25.6439
_cell_angle_alpha 90.00
_cell_angle_beta 90.00
_cell_angle_gamma 120.00
_space_group_name_H-M_alt 'P -3 m 1'
_space_group_IT_number 164
_space_group_name_Hall '-P 3 2"'
loop_
_atom_site_label
_atom_site_type_symbol
_atom_site_fract_x
_atom_site_fract_y
_atom_site_fract_z
Zr1 Zr 0.0000 0.0000 0.1508
Zr2 Zr 0.0000 0.0000 0.3463
Zr3 Zr 0.3333 0.6667 0.5512
Zr4 Zr 0.3333 0.6667 0.9472
Pb1 Pb 0.3333 0.6667 0.7514
C1 C 0.0000 0.0000 0.5000
C2 C 0.3333 0.6667 0.3919
N1 N 0.0000 0.0000 0.0000
N2 N 0.3333 0.6667 0.1020
```

Top 10 peaks for 15 to 90 degrees two-theta, most intense first:
index, two_theta, d (Å), I_rel
0 1 5, 35.7, 2.517, 1000
1 0 6, 37.6, 2.394, 746
1 0 4, 34.0, 2.634, 599
1 0 1, 31.2, 2.871, 571
1 1 0, 55.1, 1.668, 447
0 0 10, 35.0, 2.564, 435
1 1 10, 66.9, 1.398, 401
1 0 11, 50.3, 1.814, 222
1 0 9, 44.7, 2.029, 215
0 1 15, 63.2, 1.471, 176

Entry 4:
For Tl2PdC4N4, DFT lattice parameters and positions (GGA-PBE) gives the computed X-ray diffraction stick pattern in this record (CuKα).
Lines closer than 0.1° are merged.

Cell and atoms:
```
data_Tl2PdC4N4
_chemical_formula_sum 'Tl4 Pd2 C8 N8'
_cell_length_a 6.250
_cell_length_b 7.332
_cell_length_c 9.989
_cell_angle_alpha 90.00
_cell_angle_beta 112.47
_cell_angle_gamma 90.00
_space_group_name_H-M_alt 'P 1 21/c 1'
_space_group_IT_number 14
loop_
_space_group_symop_operation_xyz
'x,y,z'
'-x,-y,-z'
'-x,y+1/2,-z+1/2'
'x,-y+1/2,z+1/2'
loop_
_atom_site_label
_atom_site_type_symbol
_atom_site_fract_x
_atom_site_fract_y
_atom_site_fract_z
Tl1 Tl 0.188 0.149 0.416
Pd1 Pd 0.500 0.000 0.000
C1 C 0.227 0.666 0.437
C2 C 0.491 0.002 0.798
N1 N 0.068 0.734 0.898
N2 N 0.485 0.003 0.679
```

Top 10 peaks for 15 to 90 degrees two-theta, most intense first:
index, two_theta, d (Å), I_rel
1 0 -2, 19.5, 4.544, 1000
1 2 -1, 28.5, 3.135, 497
1 1 1, 24.3, 3.660, 384
0 0 2, 19.2, 4.615, 361
0 1 2, 22.8, 3.906, 306
0 2 3, 38.2, 2.357, 303
0 3 1, 38.1, 2.363, 300
2 1 -1, 31.2, 2.868, 275
1 0 -4, 36.0, 2.497, 270
1 1 -2, 23.0, 3.868, 231

Entry 5:
For Rb2PtC4N4, DFT lattice parameters and positions (GGA-PBE) gives the computed X-ray diffraction stick pattern in this record (CuKα).
Lines closer than 0.1° are merged.

Cell and atoms:
```
data_Rb2PtC4N4
_chemical_formula_sum 'Rb8 Pt4 C16 N16'
_cell_length_a 7.313
_cell_length_b 11.116
_cell_length_c 11.147
_cell_angle_alpha 90.00
_cell_angle_beta 90.00
_cell_angle_gamma 90.00
_space_group_name_H-M_alt 'I m m a'
_space_group_IT_number 74
_space_group_name_Hall '-I 2b 2'
loop_
_atom_site_label
_atom_site_type_symbol
_atom_site_fract_x
_atom_site_fract_y
_atom_site_fract_z
Rb1 Rb 0.000 0.000 0.000
Rb2 Rb 0.000 0.250 0.278
Pt1 Pt 0.250 0.250 0.750
C1 C 0.237 0.250 0.928
C2 C 0.250 0.071 0.750
N1 N 0.221 0.250 0.033
N2 N 0.250 0.034 0.250
```

Top 10 peaks for 15 to 90 degrees two-theta, most intense first:
index, two_theta, d (Å), I_rel
2 1 1, 26.9, 3.316, 1000
2 3 1, 35.4, 2.536, 803
0 2 0, 15.9, 5.565, 763
0 2 2, 22.6, 3.936, 630
0 4 0, 32.2, 2.783, 608
2 0 2, 29.2, 3.056, 374
2 5 1, 48.6, 1.874, 297
2 3 3, 42.4, 2.131, 285
2 5 3, 54.2, 1.692, 201
2 2 4, 44.0, 2.058, 197

Entry 6:
For Tl2PtC4N4, DFT lattice parameters and positions (GGA-PBE) gives the computed X-ray diffraction stick pattern in this record (CuKα).
Lines closer than 0.1° are merged.

Cell and atoms:
```
data_Tl2PtC4N4
_chemical_formula_sum 'Tl4 Pt2 C8 N8'
_cell_length_a 6.274
_cell_length_b 7.316
_cell_length_c 9.981
_cell_angle_alpha 90.00
_cell_angle_beta 112.40
_cell_angle_gamma 90.00
_space_group_name_H-M_alt 'P 1 21/c 1'
_space_group_IT_number 14
loop_
_space_group_symop_operation_xyz
'x,y,z'
'-x,-y,-z'
'-x,y+1/2,-z+1/2'
'x,-y+1/2,z+1/2'
loop_
_atom_site_label
_atom_site_type_symbol
_atom_site_fract_x
_atom_site_fract_y
_atom_site_fract_z
Tl1 Tl 0.189 0.152 0.419
Pt1 Pt 0.500 0.000 0.000
C1 C 0.226 0.663 0.435
C2 C 0.493 0.002 0.799
N1 N 0.065 0.739 0.894
N2 N 0.487 0.003 0.680
```

Top 10 peaks for 15 to 90 degrees two-theta, most intense first:
index, two_theta, d (Å), I_rel
1 0 -2, 19.5, 4.550, 1000
1 1 1, 24.3, 3.666, 503
0 0 2, 19.2, 4.614, 492
0 3 1, 38.2, 2.358, 427
1 2 -1, 28.5, 3.132, 397
2 1 -1, 31.1, 2.877, 339
1 0 -4, 36.0, 2.495, 289
1 2 0, 28.9, 3.094, 258
0 1 2, 22.8, 3.903, 240
1 3 -3, 46.4, 1.958, 201

Entry 7:
For ZnPtC4N4, DFT lattice parameters and positions (GGA-PBE) gives the computed X-ray diffraction stick pattern in this record (CuKα).
Lines closer than 0.1° are merged.

Cell and atoms:
```
data_ZnPtC4N4
_chemical_formula_sum 'Zn2 Pt2 C8 N8'
_cell_length_a 5.296
_cell_length_b 5.296
_cell_length_c 13.654
_cell_angle_alpha 90.00
_cell_angle_beta 90.00
_cell_angle_gamma 90.00
_space_group_name_H-M_alt 'P 42/m c m'
_space_group_IT_number 132
_space_group_name_Hall '-P 4c 2c'
loop_
_atom_site_label
_atom_site_type_symbol
_atom_site_fract_x
_atom_site_fract_y
_atom_site_fract_z
Zn1 Zn 0.000 0.000 0.250
Pt1 Pt 0.500 0.500 0.000
C1 C 0.314 0.314 0.102
N1 N 0.206 0.206 0.163
```

Top 10 peaks for 15 to 90 degrees two-theta, most intense first:
index, two_theta, d (Å), I_rel
1 0 2, 21.2, 4.185, 1000
1 1 0, 23.8, 3.745, 378
2 1 2, 40.3, 2.238, 327
2 0 4, 43.3, 2.092, 315
1 1 4, 35.6, 2.523, 231
2 1 6, 56.0, 1.641, 202
1 0 0, 16.7, 5.296, 166
3 2 2, 65.0, 1.436, 140
3 1 4, 61.7, 1.504, 111
1 1 2, 27.2, 3.283, 101

Entry 8:
For ZnC2S2N2, DFT lattice parameters and positions (GGA-PBE) gives the computed X-ray diffraction stick pattern in this record (CuKα).
Lines closer than 0.1° are merged.

Cell and atoms:
```
data_ZnC2S2N2
_chemical_formula_sum 'Zn4 C8 S8 N8'
_cell_length_a 7.716
_cell_length_b 7.797
_cell_length_c 10.537
_cell_angle_alpha 74.04
_cell_angle_beta 70.65
_cell_angle_gamma 87.20
_space_group_name_H-M_alt 'P -1'
_space_group_IT_number 2
loop_
_space_group_symop_operation_xyz
'x,y,z'
'-x,-y,-z'
loop_
_atom_site_label
_atom_site_type_symbol
_atom_site_fract_x
_atom_site_fract_y
_atom_site_fract_z
Zn1 Zn 0.183 0.402 0.326
Zn2 Zn 0.282 0.066 0.808
C1 C 0.068 0.111 0.609
C2 C 0.104 0.418 0.810
C3 C 0.372 0.708 0.380
C4 C 0.497 0.744 0.883
S1 S 0.027 0.969 0.764
S2 S 0.227 0.312 0.904
S3 S 0.330 0.828 0.988
S4 S 0.472 0.870 0.404
N1 N 0.015 0.499 0.744
N2 N 0.094 0.210 0.498
N3 N 0.296 0.590 0.366
N4 N 0.380 0.319 0.188
```

Top 10 peaks for 15 to 90 degrees two-theta, most intense first:
index, two_theta, d (Å), I_rel
1 0 -2, 25.5, 3.499, 1000
-1 1 1, 19.4, 4.572, 867
0 2 2, 25.9, 3.442, 754
1 -1 1, 18.6, 4.761, 732
2 1 2, 26.3, 3.386, 680
1 0 2, 18.5, 4.784, 616
1 -1 2, 24.4, 3.647, 560
1 1 0, 17.4, 5.100, 549
1 1 1, 15.9, 5.573, 538
2 -1 0, 26.7, 3.334, 315